The following is a theoretical powder XRD pattern of KBeTl2. It was derived from a DFT-relaxed cell (GGA-PBE, Alexandria), using CuKα.
Lines closer than 0.1° are merged.

Main lines, by intensity (10 to 90 degrees two-theta):
- d 2.961, rel. 1000
- d 5.923, rel. 1000
- d 3.831, rel. 607
- d 2.854, rel. 574
- d 1.933, rel. 371
- d 3.552, rel. 305
- d 1.915, rel. 293
- d 2.482, rel. 240
- d 1.427, rel. 228
- d 2.605, rel. 224
- d 2.304, rel. 198
- d 1.793, rel. 148

Atomic structure:
```
KBeTl2
1.0
-3.258 3.258 7.104
3.258 -3.258 7.104
3.258 3.258 -7.104
K Be Tl
2 2 4
Cartesian
3.258 1.629 1.776 K
0.000 1.629 5.328 K
3.258 -1.629 5.328 Be
0.000 4.887 1.776 Be
0.000 0.000 0.000 Tl
1.629 1.629 -3.552 Tl
1.629 -1.629 3.552 Tl
0.000 3.258 0.000 Tl
```